No. 1
Diffraction record for InTcNi. The X-ray powder pattern is simulated, not measured: it uses DFT lattice parameters and positions (PBE) and Cu Kα.

Structural model:
```
data_InTcNi
_symmetry_space_group_name_H-M 'P 1 2 1'
_symmetry_Int_Tables_number 3
_cell_length_a 4.503
_cell_length_b 2.958
_cell_length_c 7.001
_cell_angle_alpha 90.00
_cell_angle_beta 98.57
_cell_angle_gamma 90.00
loop_
_symmetry_equiv_pos_as_xyz
'x,y,z'
'-x,y,-z'
loop_
_atom_site_label
_atom_site_type_symbol
_atom_site_fract_x
_atom_site_fract_y
_atom_site_fract_z
_atom_site_occupancy
In1 In 0.213 0.000 0.344 1
Tc1 Tc 0.000 0.539 0.000 1
Tc2 Tc 0.500 0.947 0.000 1
Ni1 Ni 0.292 0.483 0.687 1
```

Top 6 peaks for 10° ≤ 2θ ≤ 80°, low angle first:
| 2θ (°) | intensity | hkl |
| --- | --- | --- |
| 39.03 | 55.1 | 0 0 3 |
| 39.83 | 100.0 | 1 1 1 |
| 40.68 | 41.6 | 2 0 -1 |
| 43.28 | 77.4 | 1 1 -2 |
| 52.05 | 21.3 | 2 0 2 |
| 62.87 | 22.1 | 0 2 0 |



No. 2
Diffraction record for In2TcNi. The X-ray powder pattern is simulated, not measured: it uses DFT lattice parameters and positions (PBE) and Cu Kα.

Structural model:
```
data_In2TcNi
_symmetry_space_group_name_H-M 'I m m 2'
_symmetry_Int_Tables_number 44
_cell_length_a 3.101
_cell_length_b 4.507
_cell_length_c 9.805
_cell_angle_alpha 90.00
_cell_angle_beta 90.00
_cell_angle_gamma 90.00
loop_
_symmetry_equiv_pos_as_xyz
'x,y,z'
'-x,-y,z'
'-x,y,z'
'x,-y,z'
'x+1/2,y+1/2,z+1/2'
'-x+1/2,-y+1/2,z+1/2'
'-x+1/2,y+1/2,z+1/2'
'x+1/2,-y+1/2,z+1/2'
loop_
_atom_site_label
_atom_site_type_symbol
_atom_site_fract_x
_atom_site_fract_y
_atom_site_fract_z
_atom_site_occupancy
In1 In 0.000 0.000 0.000 1
In2 In 0.000 0.500 0.218 1
Tc1 Tc 0.000 0.000 0.453 1
Ni1 Ni 0.000 0.500 0.743 1
```

Top 6 peaks for 10° ≤ 2θ ≤ 80°, low angle first:
| 2θ (°) | intensity | hkl |
| --- | --- | --- |
| 33.88 | 12.5 | 0 1 3 |
| 36.66 | 26.4 | 0 0 4 |
| 39.79 | 100.0 | 1 1 2 |
| 40.01 | 26.7 | 0 2 0 |
| 55.40 | 21.1 | 0 2 4 |
| 72.53 | 16.0 | 1 3 2 |



No. 3
Diffraction record for InTcNi. The X-ray powder pattern is simulated, not measured: it uses DFT lattice parameters and positions (PBE) and Cu Kα.

Structural model:
```
data_InTcNi
_symmetry_space_group_name_H-M 'P -1'
_symmetry_Int_Tables_number 2
_cell_length_a 2.943
_cell_length_b 4.527
_cell_length_c 7.154
_cell_angle_alpha 98.88
_cell_angle_beta 101.42
_cell_angle_gamma 91.11
loop_
_symmetry_equiv_pos_as_xyz
'x,y,z'
'-x,-y,-z'
loop_
_atom_site_label
_atom_site_type_symbol
_atom_site_fract_x
_atom_site_fract_y
_atom_site_fract_z
_atom_site_occupancy
In1 In 0.089 0.292 0.156 1
Tc1 Tc 0.202 0.755 0.490 1
Ni1 Ni 0.414 0.192 0.810 1
```

Top 6 peaks for 10° ≤ 2θ ≤ 80°, low angle first:
| 2θ (°) | intensity | hkl |
| --- | --- | --- |
| 39.05 | 58.6 | 0 0 3 |
| 39.64 | 54.4 | 1 -1 1 |
| 40.38 | 100.0 | 1 1 -2 |
| 43.01 | 42.5 | -1 1 2 |
| 43.43 | 40.7 | 1 1 1 |
| 52.21 | 21.4 | 0 2 -3 |



No. 4
Diffraction record for InNiTe4. The X-ray powder pattern is simulated, not measured: it uses DFT lattice parameters and positions (PBE) and Cu Kα.

Structural model:
```
data_InNiTe4
_symmetry_space_group_name_H-M 'F -4 3 m'
_symmetry_Int_Tables_number 216
_symmetry_space_group_name_Hall 'F -4 2 3'
_cell_length_a 9.022
_cell_length_b 9.022
_cell_length_c 9.022
_cell_angle_alpha 90.00
_cell_angle_beta 90.00
_cell_angle_gamma 90.00
loop_
_atom_site_label
_atom_site_type_symbol
_atom_site_fract_x
_atom_site_fract_y
_atom_site_fract_z
_atom_site_occupancy
In1 In 0.000 0.000 0.000 1
Ni1 Ni 0.250 0.250 0.750 1
Te1 Te 0.124 0.124 0.376 1
```

Top 6 peaks for 10° ≤ 2θ ≤ 80°, low angle first:
| 2θ (°) | intensity | hkl |
| --- | --- | --- |
| 27.97 | 18.0 | 2 2 0 |
| 32.93 | 100.0 | 3 1 1 |
| 34.44 | 51.1 | 2 2 2 |
| 52.72 | 34.5 | 5 1 1 |
| 57.81 | 31.1 | 4 4 0 |
| 69.06 | 19.8 | 6 2 2 |



No. 5
Diffraction record for InNi3Te2. The X-ray powder pattern is simulated, not measured: it uses DFT lattice parameters and positions (PBE) and Cu Kα.

Structural model:
```
data_InNi3Te2
_symmetry_space_group_name_H-M 'P m m n'
_symmetry_Int_Tables_number 59
_cell_length_a 3.805
_cell_length_b 16.569
_cell_length_c 3.806
_cell_angle_alpha 90.00
_cell_angle_beta 90.00
_cell_angle_gamma 90.00
loop_
_symmetry_equiv_pos_as_xyz
'x,y,z'
'-x,-y,-z'
'-x+1/2,-y+1/2,z'
'x+1/2,y+1/2,-z'
'x+1/2,-y,-z'
'-x+1/2,y,z'
'-x,y+1/2,-z'
'x,-y+1/2,z'
loop_
_atom_site_label
_atom_site_type_symbol
_atom_site_fract_x
_atom_site_fract_y
_atom_site_fract_z
_atom_site_occupancy
In1 In 0.250 0.250 0.248 1
Ni1 Ni 0.250 0.000 0.750 1
Ni2 Ni 0.250 0.750 0.252 1
Te1 Te 0.250 0.600 0.250 1
```

Top 6 peaks for 10° ≤ 2θ ≤ 80°, low angle first:
| 2θ (°) | intensity | hkl |
| --- | --- | --- |
| 28.48 | 100.0 | 1 3 0 |
| 33.29 | 35.9 | 1 0 1 |
| 35.06 | 38.9 | 1 2 1 |
| 47.16 | 78.6 | 1 6 1 |
| 47.80 | 44.7 | 2 0 0 |
| 56.59 | 28.8 | 2 3 1 |



No. 6
Diffraction record for InNiTe. The X-ray powder pattern is simulated, not measured: it uses DFT lattice parameters and positions (PBE) and Cu Kα.

Structural model:
```
data_InNiTe
_symmetry_space_group_name_H-M 'C 1 2/c 1'
_symmetry_Int_Tables_number 15
_cell_length_a 9.385
_cell_length_b 6.260
_cell_length_c 5.375
_cell_angle_alpha 90.00
_cell_angle_beta 122.71
_cell_angle_gamma 90.00
loop_
_symmetry_equiv_pos_as_xyz
'x,y,z'
'-x,-y,-z'
'-x,y,-z+1/2'
'x,-y,z+1/2'
'x+1/2,y+1/2,z'
'-x+1/2,-y+1/2,-z'
'-x+1/2,y+1/2,-z+1/2'
'x+1/2,-y+1/2,z+1/2'
loop_
_atom_site_label
_atom_site_type_symbol
_atom_site_fract_x
_atom_site_fract_y
_atom_site_fract_z
_atom_site_occupancy
In1 In 0.250 0.250 0.000 1
Ni1 Ni 0.000 0.000 0.000 1
Te1 Te 0.000 0.327 0.250 1
```

Top 6 peaks for 10° ≤ 2θ ≤ 80°, low angle first:
| 2θ (°) | intensity | hkl |
| --- | --- | --- |
| 31.07 | 100.0 | 1 1 1 |
| 32.02 | 92.3 | 3 1 -1 |
| 33.36 | 24.7 | 2 0 -2 |
| 44.45 | 45.7 | 2 2 -2 |
| 44.93 | 24.5 | 1 3 0 |
| 45.97 | 30.2 | 4 0 0 |



No. 7
Diffraction record for Th11In9Ni4. The X-ray powder pattern is simulated, not measured: it uses DFT lattice parameters and positions (PBE) and Cu Kα.

Structural model:
```
data_Th11In9Ni4
_symmetry_space_group_name_H-M 'C m m m'
_symmetry_Int_Tables_number 65
_symmetry_space_group_name_Hall '-C 2 2'
_cell_length_a 14.869
_cell_length_b 22.368
_cell_length_c 3.763
_cell_angle_alpha 90.00
_cell_angle_beta 90.00
_cell_angle_gamma 90.00
loop_
_atom_site_label
_atom_site_type_symbol
_atom_site_fract_x
_atom_site_fract_y
_atom_site_fract_z
_atom_site_occupancy
Th1 Th 0.000 0.000 0.000 1
Th2 Th 0.000 0.154 0.000 1
Th3 Th 0.000 0.374 0.000 1
Th4 Th 0.186 0.500 0.000 1
Th5 Th 0.247 0.170 0.000 1
In1 In 0.000 0.500 0.500 1
In2 In 0.102 0.260 0.500 1
In3 In 0.150 0.070 0.500 1
Ni1 Ni 0.150 0.401 0.500 1
```

Top 6 peaks for 10° ≤ 2θ ≤ 80°, low angle first:
| 2θ (°) | intensity | hkl |
| --- | --- | --- |
| 23.91 | 16.3 | 4 0 0 |
| 33.87 | 100.0 | 0 6 1 |
| 34.06 | 36.8 | 4 6 0 |
| 36.05 | 16.1 | 3 5 1 |
| 48.38 | 17.2 | 0 0 2 |
| 55.22 | 14.7 | 6 8 1 |



No. 8
Diffraction record for ThIn3Ni8. The X-ray powder pattern is simulated, not measured: it uses DFT lattice parameters and positions (PBE) and Cu Kα.

Structural model:
```
data_ThIn3Ni8
_symmetry_space_group_name_H-M 'P 3 m 1'
_symmetry_Int_Tables_number 156
_cell_length_a 5.0206
_cell_length_b 5.0206
_cell_length_c 8.1861
_cell_angle_alpha 90.00
_cell_angle_beta 90.00
_cell_angle_gamma 120.00
loop_
_symmetry_equiv_pos_as_xyz
'x,y,z'
'-y,x-y,z'
'-x+y,-x,z'
'-y,-x,z'
'-x+y,y,z'
'x,x-y,z'
loop_
_atom_site_label
_atom_site_type_symbol
_atom_site_fract_x
_atom_site_fract_y
_atom_site_fract_z
_atom_site_occupancy
Th1 Th 0.0000 0.0000 0.0000 1
In1 In 0.0000 0.0000 0.3894 1
In2 In 0.6667 0.3333 0.4740 1
In3 In 0.6667 0.3333 0.8330 1
Ni1 Ni 0.1681 0.3361 0.6749 1
Ni2 Ni 0.3333 0.6667 0.4225 1
Ni3 Ni 0.3333 0.6667 0.9265 1
Ni4 Ni 0.5007 0.0014 0.1801 1
```

Top 6 peaks for 10° ≤ 2θ ≤ 80°, low angle first:
| 2θ (°) | intensity | hkl |
| --- | --- | --- |
| 29.98 | 28.7 | 0 1 2 |
| 35.77 | 63.0 | 1 1 0 |
| 38.97 | 92.4 | 1 0 3 |
| 42.23 | 100.0 | 1 1 2 |
| 43.05 | 66.3 | 2 0 1 |
| 66.41 | 37.6 | 2 1 3 |



No. 9
Diffraction record for ThInNi17. The X-ray powder pattern is simulated, not measured: it uses DFT lattice parameters and positions (PBE) and Cu Kα.

Structural model:
```
data_ThInNi17
_symmetry_space_group_name_H-M 'R 3 m'
_symmetry_Int_Tables_number 160
_symmetry_space_group_name_Hall 'R 3 -2"'
_cell_length_a 8.2713
_cell_length_b 8.2713
_cell_length_c 12.0864
_cell_angle_alpha 90.00
_cell_angle_beta 90.00
_cell_angle_gamma 120.00
loop_
_atom_site_label
_atom_site_type_symbol
_atom_site_fract_x
_atom_site_fract_y
_atom_site_fract_z
_atom_site_occupancy
Th1 Th 0.0000 0.0000 0.0000 1
In1 In 0.0000 0.0000 0.6826 1
Ni1 Ni 0.0000 0.0000 0.2445 1
Ni2 Ni 0.0000 0.0000 0.4442 1
Ni3 Ni 0.0013 0.2951 0.3407 1
Ni4 Ni 0.0065 0.5032 0.8400 1
Ni5 Ni 0.0090 0.5045 0.1884 1
Ni6 Ni 0.0093 0.5046 0.4936 1
```

Top 6 peaks for 10° ≤ 2θ ≤ 80°, low angle first:
| 2θ (°) | intensity | hkl |
| --- | --- | --- |
| 30.99 | 36.8 | 1 1 3 |
| 37.67 | 42.8 | 3 0 0 |
| 39.00 | 30.7 | 0 2 4 |
| 43.78 | 60.6 | 2 2 0 |
| 44.09 | 100.0 | 3 0 3 |
| 44.99 | 48.7 | 0 0 6 |



No. 10
Diffraction record for Th3InNi8. The X-ray powder pattern is simulated, not measured: it uses DFT lattice parameters and positions (PBE) and Cu Kα.

Structural model:
```
data_Th3InNi8
_symmetry_space_group_name_H-M 'R 3 m'
_symmetry_Int_Tables_number 160
_symmetry_space_group_name_Hall 'R 3 -2"'
_cell_length_a 5.1349
_cell_length_b 5.1349
_cell_length_c 25.2994
_cell_angle_alpha 90.00
_cell_angle_beta 90.00
_cell_angle_gamma 120.00
loop_
_atom_site_label
_atom_site_type_symbol
_atom_site_fract_x
_atom_site_fract_y
_atom_site_fract_z
_atom_site_occupancy
Th1 Th 0.0000 0.0000 0.0000 1
Th2 Th 0.0000 0.0000 0.1277 1
Th3 Th 0.0000 0.0000 0.6170 1
In1 In 0.0000 0.0000 0.4939 1
Ni1 Ni 0.0000 0.0000 0.3109 1
Ni2 Ni 0.0000 0.0000 0.8115 1
Ni3 Ni 0.9999 0.5000 0.0606 1
Ni4 Ni 0.0041 0.5020 0.5608 1
```

Top 6 peaks for 10° ≤ 2θ ≤ 80°, low angle first:
| 2θ (°) | intensity | hkl |
| --- | --- | --- |
| 34.81 | 47.3 | 0 1 8 |
| 34.95 | 49.2 | 1 1 0 |
| 41.05 | 33.4 | 1 0 10 |
| 41.18 | 100.0 | 2 0 2 |
| 62.62 | 27.1 | 3 0 0 |
| 66.87 | 30.9 | 2 1 10 |



No. 11
Diffraction record for Ti2In2Ni. The X-ray powder pattern is simulated, not measured: it uses DFT lattice parameters and positions (PBE) and Cu Kα.

Structural model:
```
data_Ti2In2Ni
_symmetry_space_group_name_H-M 'P 4/m b m'
_symmetry_Int_Tables_number 127
_symmetry_space_group_name_Hall '-P 4 2ab'
_cell_length_a 6.660
_cell_length_b 6.660
_cell_length_c 4.225
_cell_angle_alpha 90.00
_cell_angle_beta 90.00
_cell_angle_gamma 90.00
loop_
_atom_site_label
_atom_site_type_symbol
_atom_site_fract_x
_atom_site_fract_y
_atom_site_fract_z
_atom_site_occupancy
Ti1 Ti 0.159 0.341 0.000 1
In1 In 0.149 0.649 0.500 1
Ni1 Ni 0.000 0.000 0.500 1
```

Top 6 peaks for 10° ≤ 2θ ≤ 80°, low angle first:
| 2θ (°) | intensity | hkl |
| --- | --- | --- |
| 21.02 | 33.8 | 0 0 1 |
| 30.00 | 15.6 | 2 1 0 |
| 36.92 | 100.0 | 2 1 1 |
| 42.80 | 19.8 | 0 0 2 |
| 42.94 | 30.8 | 3 1 0 |
| 62.24 | 19.2 | 3 1 2 |



No. 12
Diffraction record for Ti6InNi. The X-ray powder pattern is simulated, not measured: it uses DFT lattice parameters and positions (PBE) and Cu Kα.

Structural model:
```
data_Ti6InNi
_symmetry_space_group_name_H-M 'C 1 2/m 1'
_symmetry_Int_Tables_number 12
_cell_length_a 7.657
_cell_length_b 9.362
_cell_length_c 5.261
_cell_angle_alpha 90.00
_cell_angle_beta 133.32
_cell_angle_gamma 90.00
loop_
_symmetry_equiv_pos_as_xyz
'x,y,z'
'-x,-y,-z'
'-x,y,-z'
'x,-y,z'
'x+1/2,y+1/2,z'
'-x+1/2,-y+1/2,-z'
'-x+1/2,y+1/2,-z'
'x+1/2,-y+1/2,z'
loop_
_atom_site_label
_atom_site_type_symbol
_atom_site_fract_x
_atom_site_fract_y
_atom_site_fract_z
_atom_site_occupancy
Ti1 Ti 0.000 0.000 0.249 1
Ti2 Ti 0.249 0.280 0.249 1
In1 In 0.000 0.500 0.500 1
Ni1 Ni 0.000 0.500 0.000 1
```

Top 6 peaks for 10° ≤ 2θ ≤ 80°, low angle first:
| 2θ (°) | intensity | hkl |
| --- | --- | --- |
| 18.53 | 20.7 | 1 1 0 |
| 34.08 | 24.7 | 2 0 -2 |
| 37.57 | 100.0 | 2 2 0 |
| 38.46 | 39.1 | 0 4 0 |
| 39.07 | 67.0 | 3 1 -2 |
| 48.10 | 35.5 | 3 3 -2 |



No. 13
Diffraction record for TlInNi. The X-ray powder pattern is simulated, not measured: it uses DFT lattice parameters and positions (PBE) and Cu Kα.

Structural model:
```
data_TlInNi
_symmetry_space_group_name_H-M 'F d d d'
_symmetry_Int_Tables_number 70
_cell_length_a 5.440
_cell_length_b 9.648
_cell_length_c 18.227
_cell_angle_alpha 90.00
_cell_angle_beta 90.00
_cell_angle_gamma 90.00
loop_
_symmetry_equiv_pos_as_xyz
'x,y,z'
'-x,-y,-z'
'-x+1/4,-y+1/4,z'
'x+1/4,y+1/4,-z'
'x,-y+1/4,-z+1/4'
'-x,y+1/4,z+1/4'
'-x+1/4,y,-z+1/4'
'x+1/4,-y,z+1/4'
'x,y+1/2,z+1/2'
'-x,-y+1/2,-z+1/2'
'-x+1/4,-y+3/4,z+1/2'
'x+1/4,y+3/4,-z+1/2'
'x,-y+3/4,-z+3/4'
'-x,y+3/4,z+3/4'
'-x+1/4,y+1/2,-z+3/4'
'x+1/4,-y+1/2,z+3/4'
'x+1/2,y,z+1/2'
'-x+1/2,-y,-z+1/2'
'-x+3/4,-y+1/4,z+1/2'
'x+3/4,y+1/4,-z+1/2'
'x+1/2,-y+1/4,-z+3/4'
'-x+1/2,y+1/4,z+3/4'
'-x+3/4,y,-z+3/4'
'x+3/4,-y,z+3/4'
'x+1/2,y+1/2,z'
'-x+1/2,-y+1/2,-z'
'-x+3/4,-y+3/4,z'
'x+3/4,y+3/4,-z'
'x+1/2,-y+3/4,-z+1/4'
'-x+1/2,y+3/4,z+1/4'
'-x+3/4,y+1/2,-z+1/4'
'x+3/4,-y+1/2,z+1/4'
loop_
_atom_site_label
_atom_site_type_symbol
_atom_site_fract_x
_atom_site_fract_y
_atom_site_fract_z
_atom_site_occupancy
Tl1 Tl 0.125 0.288 0.125 1
In1 In 0.125 0.125 0.539 1
Ni1 Ni 0.125 0.125 0.253 1
```

Top 6 peaks for 10° ≤ 2θ ≤ 80°, low angle first:
| 2θ (°) | intensity | hkl |
| --- | --- | --- |
| 32.72 | 100.0 | 1 3 1 |
| 34.41 | 86.8 | 2 0 2 |
| 34.90 | 53.2 | 0 2 6 |
| 35.64 | 72.4 | 1 3 3 |
| 39.51 | 80.2 | 0 0 8 |
| 43.03 | 71.3 | 2 2 4 |